Entry 1:
Er3Pb4F17: theoretical powder XRD pattern (Cu Kα X-rays), based on a cell relaxed with GGA-PBE.

Crystal structure
```
Er3Pb4F17
1.0
9.1282 0.0000 0.0000
2.6428 8.7640 0.0000
2.6941 2.0194 8.5846
Er Pb F
6 8 34
Direct
0.0000 0.0000 0.0000
0.0551 0.6555 0.7869
0.1346 0.2836 0.5614
0.3372 0.2089 0.9307
0.6842 0.4255 0.8641
0.9200 0.3435 0.2281
0.2030 0.9276 0.3498
0.2561 0.5589 0.1328
0.4096 0.8753 0.7173
0.4799 0.5210 0.4986
0.5660 0.1424 0.2854
0.6250 0.7836 0.0897
0.7807 0.0839 0.6626
0.8220 0.7227 0.4312
0.0133 0.1738 0.4442
0.0339 0.4588 0.3559
0.0680 0.2458 0.9319
0.0675 0.7960 0.2143
0.0815 0.0665 0.7377
0.1217 0.5079 0.6119
0.1657 0.7737 0.9062
0.1830 0.2629 0.1554
0.2516 0.9827 0.9962
0.2617 0.4691 0.8503
0.2671 0.7395 0.6060
0.3166 0.0717 0.4714
0.3264 0.2082 0.6926
0.3456 0.3648 0.3766
0.3797 0.6813 0.2599
0.4421 0.0314 0.1394
0.4762 0.3284 0.0379
0.5041 0.6378 0.9444
0.5406 0.7974 0.3854
0.5441 0.9986 0.8499
0.5607 0.3084 0.7550
0.6077 0.6069 0.6548
0.6537 0.9579 0.5329
0.7049 0.2700 0.4154
0.7352 0.3906 0.0960
0.7432 0.5543 0.3047
0.7819 0.9101 0.1770
0.7841 0.1664 0.9383
0.8297 0.5995 0.8119
0.8756 0.3573 0.6630
0.8820 0.8623 0.8855
0.9387 0.1002 0.2124
0.9743 0.8348 0.5749
0.9848 0.5491 0.0452
```

Main lines, sorted by position (5 to 70 degrees two-theta):
d_spacing  I/Imax
3.368  100.0
3.353  49.5
3.330  46.9
2.897  55.2
2.062  53.9
2.052  34.0

***

Entry 2:
CuH6Pb4S2O14: theoretical powder XRD pattern (Cu Kα X-rays), based on a cell relaxed with GGA-PBE.

Crystal structure
```
CuH6Pb4S2O14
1.0
5.9678 0.0000 0.0000
-1.0674 8.0261 0.0000
-1.4508 -3.2964 7.2874
Cu H Pb S O
1 6 4 2 14
Direct
0.0000 0.0000 0.0000
0.1558 0.1905 0.3432
0.1962 0.5599 0.6031
0.2174 0.7526 0.9139
0.7826 0.2474 0.0861
0.8038 0.4401 0.3969
0.8442 0.8095 0.6568
0.3588 0.4902 0.2604
0.4494 0.9553 0.7326
0.5506 0.0447 0.2674
0.6412 0.5098 0.7396
0.0711 0.2848 0.7334
0.9289 0.7152 0.2666
0.0855 0.4888 0.7985
0.1804 0.8079 0.3222
0.1827 0.2238 0.5768
0.2015 0.2458 0.8849
0.2072 0.1824 0.2313
0.2721 0.8851 0.9539
0.3330 0.6126 0.5734
0.6670 0.3874 0.4266
0.7279 0.1149 0.0461
0.7928 0.8176 0.7687
0.7985 0.7542 0.1151
0.8173 0.7762 0.4232
0.8196 0.1921 0.6778
0.9145 0.5112 0.2015
```

Main lines, sorted by position (5 to 70 degrees two-theta):
d_spacing  I/Imax
5.730  48.8
4.426  40.4
3.649  100.0
3.443  42.1
2.867  36.0
2.775  34.4

***

Entry 3:
BaHo2In: theoretical powder XRD pattern (Cu Kα X-rays), based on a cell relaxed with GGA-PBE.

Crystal structure
```
BaHo2In
1.0
3.7070 0.0000 0.0000
0.0000 3.7070 0.0000
0.0000 0.0000 10.0765
Ba Ho In
1 2 1
Direct
0.0000 0.0000 0.0000
0.5000 0.5000 0.3087
0.5000 0.5000 0.6913
0.0000 0.0000 0.5000
```

Main lines, sorted by position (5 to 70 degrees two-theta):
d_spacing  I/Imax
10.077  17.4
2.986  100.0
2.621  48.2
2.489  19.4
1.854  17.3
1.575  29.5

***

Entry 4:
Tm3Cd2Rh: theoretical powder XRD pattern (Cu Kα X-rays), based on a cell relaxed with GGA-PBE.

Crystal structure
```
Tm3Cd2Rh
1.0
2.4926 -7.4518 0.0000
2.4926 7.4518 0.0000
0.0000 0.0000 7.4770
Tm Cd Rh
6 4 2
Direct
0.0000 0.0000 0.2331
0.0000 0.0000 0.7669
0.3258 0.6742 0.2221
0.3258 0.6742 0.7779
0.6742 0.3258 0.2221
0.6742 0.3258 0.7779
0.1658 0.8342 0.5000
0.5000 0.5000 0.0000
0.5000 0.5000 0.5000
0.8342 0.1658 0.5000
0.1609 0.8391 0.0000
0.8391 0.1609 0.0000
```

Main lines, sorted by position (5 to 70 degrees two-theta):
d_spacing  I/Imax
2.562  100.0
2.493  26.5
2.484  23.5
1.760  19.1
1.495  16.2
1.452  16.9

***

Entry 5:
PrErS2Cl: theoretical powder XRD pattern (Cu Kα X-rays), based on a cell relaxed with GGA-PBE.

Crystal structure
```
PrErS2Cl
1.0
4.0654 0.0000 0.0000
0.0000 4.0654 0.0000
0.0000 0.0000 13.5556
Pr Er S Cl
2 2 4 2
Direct
0.2500 0.2500 0.1560
0.7500 0.7500 0.8440
0.2500 0.2500 0.5929
0.7500 0.7500 0.4071
0.2500 0.2500 0.3897
0.2500 0.2500 0.7912
0.7500 0.7500 0.2088
0.7500 0.7500 0.6103
0.2500 0.7500 0.0000
0.7500 0.2500 0.0000
```

Main lines, sorted by position (5 to 70 degrees two-theta):
d_spacing  I/Imax
3.486  100.0
2.875  64.5
2.192  36.5
2.033  34.3
1.973  23.0
1.756  30.2

***

Entry 6:
La2RuC2: theoretical powder XRD pattern (Cu Kα X-rays), based on a cell relaxed with GGA-PBE.

Crystal structure
```
La2RuC2
1.0
6.5918 0.0000 0.0000
0.0000 5.5034 0.0000
0.0000 0.0000 10.3238
La Ru C
8 4 8
Direct
0.0190 0.2500 0.2191
0.1976 0.2500 0.5470
0.3024 0.7500 0.0470
0.4810 0.7500 0.7191
0.5190 0.2500 0.2809
0.6976 0.2500 0.9530
0.8024 0.7500 0.4530
0.9810 0.7500 0.7809
0.2331 0.2500 0.8561
0.2669 0.7500 0.3561
0.7331 0.2500 0.6439
0.7669 0.7500 0.1439
0.0252 0.7500 0.2467
0.1886 0.7500 0.5367
0.3114 0.2500 0.0367
0.4748 0.2500 0.7467
0.5252 0.7500 0.2533
0.6886 0.7500 0.9633
0.8114 0.2500 0.4633
0.9748 0.2500 0.7533
```

Main lines, sorted by position (5 to 70 degrees two-theta):
d_spacing  I/Imax
2.918  68.5
2.778  42.7
2.752  77.7
2.727  100.0
2.668  55.8
1.955  30.0

***

Entry 7:
Mg3CdIn6: theoretical powder XRD pattern (Cu Kα X-rays), based on a cell relaxed with GGA-PBE.

Crystal structure
```
Mg3CdIn6
1.0
10.1102 0.0000 0.0000
0.0000 14.3237 0.0000
0.0000 0.0000 3.5532
Mg Cd In
6 2 12
Direct
0.0000 0.0000 0.0000
0.0879 0.3287 0.5000
0.4121 0.8287 0.0000
0.5000 0.5000 0.5000
0.5879 0.1713 0.0000
0.9121 0.6713 0.5000
0.0000 0.5000 0.0000
0.5000 0.0000 0.5000
0.0957 0.7879 0.0000
0.2234 0.9504 0.5000
0.2291 0.1503 0.0000
0.2709 0.6503 0.5000
0.2766 0.4504 0.0000
0.4043 0.2879 0.5000
0.5957 0.7121 0.5000
0.7234 0.5496 0.0000
0.7291 0.3497 0.5000
0.7709 0.8497 0.0000
0.7766 0.0496 0.5000
0.9043 0.2121 0.0000
```

Main lines, sorted by position (5 to 70 degrees two-theta):
d_spacing  I/Imax
2.850  100.0
2.744  53.8
2.454  47.1
2.410  73.7
2.323  31.3
1.673  30.1

***

Entry 8:
Tl2AgI4: theoretical powder XRD pattern (Cu Kα X-rays), based on a cell relaxed with GGA-PBE.

Crystal structure
```
Tl2AgI4
1.0
15.1503 0.0000 0.0000
0.0000 4.6395 0.0000
-4.0606 0.0000 8.0288
Tl Ag I
4 2 8
Direct
0.1569 0.0000 0.2065
0.3431 0.5000 0.7935
0.6569 0.5000 0.2065
0.8431 0.0000 0.7935
0.0000 0.5000 0.5000
0.5000 0.0000 0.5000
0.0258 0.5000 0.8296
0.1534 0.0000 0.5911
0.3466 0.5000 0.4089
0.4742 0.0000 0.1704
0.5258 0.0000 0.8296
0.6534 0.5000 0.5911
0.8466 0.0000 0.4089
0.9742 0.5000 0.1704
```

Main lines, sorted by position (5 to 70 degrees two-theta):
d_spacing  I/Imax
4.442  20.2
3.233  100.0
2.993  23.0
2.320  21.9
2.247  20.5
2.150  20.4